[1]
This entry pairs a crystal structure of BaYBe4 with its calculated X-ray powder pattern. Radiation: Cu Ka. Structure: the PBE geometry in Alexandria.
Neutral-atom scattering factors, no anomalous dispersion.

Structure:
Cell: 5.319 5.319 5.319 Å, 60.00 60.00 60.00°
Atoms (fractional coordinates):
Ba: 0.000 0.000 0.000
Y: 0.250 0.250 0.250
Be: 0.174 0.609 0.609
Be: 0.609 0.174 0.609
Be: 0.609 0.609 0.174
Be: 0.609 0.609 0.609

Peak list (12 most intense, 2θ = 10–90°, by angle)
- d 4.343, 20.5 deg, rel. 99
- d 3.761, 23.7 deg, rel. 5
- d 2.659, 33.7 deg, rel. 100
- d 2.268, 39.7 deg, rel. 73
- d 1.880, 48.4 deg, rel. 14
- d 1.726, 53.1 deg, rel. 24
- d 1.535, 60.3 deg, rel. 36
- d 1.448, 64.4 deg, rel. 24
- d 1.330, 70.9 deg, rel. 13
- d 1.271, 74.7 deg, rel. 18
- d 1.189, 80.8 deg, rel. 15
- d 1.147, 84.5 deg, rel. 8

[2]
This entry pairs a crystal structure of Ba2BeZn with its calculated X-ray powder pattern. Radiation: Cu Ka. Structure: the PBE geometry in Alexandria.
Neutral-atom scattering factors, no anomalous dispersion.

Structure:
Cell: 5.465 4.478 5.997 Å, 90.00 117.01 90.00°
Atoms (fractional coordinates):
Ba: 0.000 0.000 0.000
Ba: 0.313 0.500 0.624
Be: 0.679 0.000 0.358
Zn: 0.633 0.500 0.264

Peak list (12 most intense, 2θ = 10–90°, by angle)
- d 3.432, 26.0 deg, rel. 51
- d 3.295, 27.1 deg, rel. 100
- d 2.984, 29.9 deg, rel. 73
- d 2.732, 32.8 deg, rel. 31
- d 2.294, 39.3 deg, rel. 18
- d 2.239, 40.3 deg, rel. 17
- d 2.138, 42.3 deg, rel. 27
- d 1.819, 50.2 deg, rel. 14
- d 1.791, 51.0 deg, rel. 32
- d 1.757, 52.1 deg, rel. 15
- d 1.732, 52.9 deg, rel. 16
- d 1.667, 55.1 deg, rel. 14

[3]
This entry pairs a crystal structure of BaBi5 with its calculated X-ray powder pattern. Radiation: Cu Ka. Structure: the PBE geometry in Alexandria.
Neutral-atom scattering factors, no anomalous dispersion.

Structure:
Cell: 5.634 16.372 4.501 Å, 90.00 90.00 90.00°
Atoms (fractional coordinates):
Ba: 0.000 0.000 0.000
Ba: 0.500 0.500 0.000
Bi: 0.000 0.196 0.500
Bi: 0.000 0.347 0.000
Bi: 0.000 0.500 0.500
Bi: 0.000 0.653 0.000
Bi: 0.000 0.804 0.500
Bi: 0.500 0.000 0.500
Bi: 0.500 0.153 0.000
Bi: 0.500 0.304 0.500
Bi: 0.500 0.696 0.500
Bi: 0.500 0.847 0.000

Peak list (12 most intense, 2θ = 10–90°, by angle)
- d 3.028, 29.5 deg, rel. 10
- d 2.956, 30.2 deg, rel. 100
- d 2.817, 31.8 deg, rel. 25
- d 2.729, 32.8 deg, rel. 13
- d 2.250, 40.1 deg, rel. 14
- d 2.160, 41.8 deg, rel. 10
- d 2.062, 43.9 deg, rel. 7
- d 1.960, 46.3 deg, rel. 10
- d 1.758, 52.0 deg, rel. 13
- d 1.652, 55.6 deg, rel. 19
- d 1.478, 62.9 deg, rel. 8
- d 1.401, 66.8 deg, rel. 11

[4]
This entry pairs a crystal structure of Ba3Bi4 with its calculated X-ray powder pattern. Radiation: Cu Ka. Structure: the PBE geometry in Alexandria.
Neutral-atom scattering factors, no anomalous dispersion.

Structure:
Cell: 6.936 6.936 17.539 Å, 90.00 90.00 137.47°
Atoms (fractional coordinates):
Ba: 0.045 0.955 0.750
Ba: 0.321 0.679 0.597
Ba: 0.321 0.679 0.903
Ba: 0.679 0.321 0.097
Ba: 0.679 0.321 0.403
Ba: 0.955 0.045 0.250
Bi: 0.000 0.000 0.000
Bi: 0.000 0.000 0.500
Bi: 0.234 0.766 0.250
Bi: 0.391 0.609 0.105
Bi: 0.391 0.609 0.395
Bi: 0.609 0.391 0.605
Bi: 0.609 0.391 0.895
Bi: 0.766 0.234 0.750

Peak list (12 most intense, 2θ = 10–90°, by angle)
- d 5.203, 17.0 deg, rel. 20
- d 4.530, 19.6 deg, rel. 16
- d 3.273, 27.2 deg, rel. 47
- d 3.203, 27.9 deg, rel. 100
- d 3.178, 28.1 deg, rel. 19
- d 3.066, 29.1 deg, rel. 17
- d 2.923, 30.6 deg, rel. 16
- d 2.856, 31.3 deg, rel. 68
- d 2.602, 34.5 deg, rel. 38
- d 2.516, 35.7 deg, rel. 38
- d 1.808, 50.5 deg, rel. 27
- d 1.725, 53.1 deg, rel. 17

[5]
This entry pairs a crystal structure of Ba3Bi5 with its calculated X-ray powder pattern. Radiation: Cu Ka. Structure: the PBE geometry in Alexandria.
Neutral-atom scattering factors, no anomalous dispersion.

Structure:
Cell: 13.652 8.876 11.554 Å, 82.74 40.16 57.10°
Atoms (fractional coordinates):
Ba: 0.000 0.000 0.000
Ba: 0.250 0.250 0.250
Ba: 0.377 0.648 0.286
Ba: 0.562 0.964 0.602
Ba: 0.648 0.377 0.688
Ba: 0.964 0.562 0.873
Bi: 0.007 0.795 0.382
Bi: 0.152 0.526 0.026
Bi: 0.224 0.954 0.098
Bi: 0.434 0.868 0.455
Bi: 0.447 0.447 0.553
Bi: 0.526 0.152 0.296
Bi: 0.697 0.697 0.803
Bi: 0.795 0.007 0.816
Bi: 0.868 0.434 0.243
Bi: 0.954 0.224 0.724

Peak list (12 most intense, 2θ = 10–90°, by angle)
- d 4.894, 18.1 deg, rel. 68
- d 3.723, 23.9 deg, rel. 47
- d 3.336, 26.7 deg, rel. 85
- d 3.291, 27.1 deg, rel. 75
- d 3.262, 27.3 deg, rel. 32
- d 3.011, 29.7 deg, rel. 32
- d 2.932, 30.5 deg, rel. 34
- d 2.823, 31.7 deg, rel. 28
- d 2.743, 32.6 deg, rel. 100
- d 2.567, 35.0 deg, rel. 73
- d 2.539, 35.3 deg, rel. 38
- d 1.636, 56.2 deg, rel. 28

[6]
This entry pairs a crystal structure of BaBi6 with its calculated X-ray powder pattern. Radiation: Cu Ka. Structure: the PBE geometry in Alexandria.
Neutral-atom scattering factors, no anomalous dispersion.

Structure:
Cell: 8.834 8.834 8.834 Å, 90.00 90.00 90.00°
Atoms (fractional coordinates):
Ba: 0.000 0.000 0.000
Ba: 0.500 0.500 0.500
Bi: 0.000 0.250 0.500
Bi: 0.000 0.500 0.250
Bi: 0.000 0.500 0.750
Bi: 0.000 0.750 0.500
Bi: 0.250 0.000 0.500
Bi: 0.250 0.500 0.000
Bi: 0.500 0.000 0.250
Bi: 0.500 0.000 0.750
Bi: 0.500 0.250 0.000
Bi: 0.500 0.750 0.000
Bi: 0.750 0.000 0.500
Bi: 0.750 0.500 0.000

Peak list (12 most intense, 2θ = 10–90°, by angle)
- d 6.246, 14.2 deg, rel. 46
- d 4.417, 20.1 deg, rel. 41
- d 3.606, 24.7 deg, rel. 100
- d 2.550, 35.2 deg, rel. 56
- d 2.361, 38.1 deg, rel. 66
- d 2.208, 40.9 deg, rel. 43
- d 1.975, 45.9 deg, rel. 20
- d 1.883, 48.3 deg, rel. 17
- d 1.613, 57.1 deg, rel. 21
- d 1.562, 59.2 deg, rel. 30
- d 1.433, 65.1 deg, rel. 21
- d 1.332, 70.7 deg, rel. 24

[7]
This entry pairs a crystal structure of BaBiBr6 with its calculated X-ray powder pattern. Radiation: Cu Ka. Structure: the PBE geometry in Alexandria.
Neutral-atom scattering factors, no anomalous dispersion.

Structure:
Cell: 7.199 7.264 8.011 Å, 90.27 116.38 119.53°
Atoms (fractional coordinates):
Ba: 0.000 0.000 0.000
Bi: 0.000 0.500 0.500
Br: 0.188 0.472 0.266
Br: 0.205 0.286 0.733
Br: 0.444 0.915 0.734
Br: 0.556 0.085 0.266
Br: 0.795 0.714 0.267
Br: 0.812 0.528 0.734

Peak list (12 most intense, 2θ = 10–90°, by angle)
- d 5.374, 16.5 deg, rel. 100
- d 5.338, 16.6 deg, rel. 48
- d 4.008, 22.2 deg, rel. 45
- d 3.981, 22.3 deg, rel. 45
- d 3.963, 22.4 deg, rel. 46
- d 3.209, 27.8 deg, rel. 73
- d 3.180, 28.1 deg, rel. 33
- d 2.990, 29.9 deg, rel. 54
- d 2.512, 35.7 deg, rel. 42
- d 2.495, 36.0 deg, rel. 80
- d 2.478, 36.3 deg, rel. 34
- d 2.321, 38.8 deg, rel. 38

[8]
This entry pairs a crystal structure of Ba5BiBr5 with its calculated X-ray powder pattern. Radiation: Cu Ka. Structure: the PBE geometry in Alexandria.
Neutral-atom scattering factors, no anomalous dispersion.

Structure:
Cell: 8.333 8.333 9.605 Å, 106.61 106.61 48.32°
Atoms (fractional coordinates):
Ba: 0.000 0.000 0.000
Ba: 0.335 0.335 0.169
Ba: 0.337 0.337 0.667
Ba: 0.663 0.663 0.333
Ba: 0.665 0.665 0.831
Bi: 0.500 0.500 0.000
Br: 0.168 0.168 0.337
Br: 0.171 0.171 0.834
Br: 0.500 0.500 0.500
Br: 0.829 0.829 0.166
Br: 0.832 0.832 0.663

Peak list (12 most intense, 2θ = 10–90°, by angle)
- d 6.791, 13.0 deg, rel. 10
- d 6.168, 14.4 deg, rel. 17
- d 3.408, 26.2 deg, rel. 100
- d 3.395, 26.2 deg, rel. 49
- d 2.408, 37.3 deg, rel. 97
- d 2.401, 37.5 deg, rel. 19
- d 1.965, 46.2 deg, rel. 42
- d 1.524, 60.8 deg, rel. 34
- d 1.520, 60.9 deg, rel. 18
- d 1.391, 67.3 deg, rel. 20
- d 1.389, 67.4 deg, rel. 14
- d 1.135, 85.6 deg, rel. 13

- What is the formula in the eighth record?
  Ba5BiBr5